# 1
This entry pairs a crystal structure of CsPaHSe3 with its calculated PXRD pattern. Radiation: Cu Kα (weighted mean of Kα1 and Kα2). Structure: a crystal structure in Alexandria, relaxed with PBE.
No peak broadening, texture or thermal motion is included.

Cell and atoms:
a b c (Å): 9.481 3.967 10.204
angles (deg): 90.00 100.31 90.00
Fractional positions:
Cs: 0.162 0.250 0.277
Cs: 0.838 0.750 0.723
Pa: 0.333 0.750 0.859
Pa: 0.667 0.250 0.141
H: 0.248 0.250 0.610
H: 0.752 0.750 0.390
Se: 0.143 0.250 0.909
Se: 0.239 0.750 0.587
Se: 0.449 0.750 0.144
Se: 0.551 0.250 0.856
Se: 0.761 0.250 0.413
Se: 0.857 0.750 0.091

Peak list (10 most intense, 2θ from 10° to 90°, most intense first)
| Position (°2θ) | I_rel |
| --- | --- |
| 29.9 | 100 |
| 29.6 | 57 |
| 11.7 | 47 |
| 24.1 | 29 |
| 35.1 | 26 |
| 43.4 | 22 |
| 45.7 | 22 |
| 19.0 | 20 |
| 19.5 | 19 |
| 38.6 | 19 |

---

# 2
This entry pairs a crystal structure of Cs3H6Pb2 with its calculated PXRD pattern. Radiation: Cu Kα (weighted mean of Kα1 and Kα2). Structure: a crystal structure in Alexandria, relaxed with PBE.
No peak broadening, texture or thermal motion is included.

Cell and atoms:
a b c (Å): 5.288 10.142 12.327
angles (deg): 90.00 90.00 90.00
Fractional positions:
Cs: 0.000 0.000 0.000
Cs: 0.000 0.500 0.185
Cs: 0.000 0.500 0.815
Cs: 0.500 0.000 0.315
Cs: 0.500 0.000 0.685
Cs: 0.500 0.500 0.500
H: 0.000 0.346 0.394
H: 0.000 0.346 0.606
H: 0.000 0.654 0.394
H: 0.000 0.654 0.606
H: 0.154 0.301 0.000
H: 0.346 0.801 0.500
H: 0.500 0.154 0.106
H: 0.500 0.154 0.894
H: 0.500 0.846 0.106
H: 0.500 0.846 0.894
H: 0.654 0.199 0.500
H: 0.846 0.699 0.000
Pb: 0.021 0.205 0.500
Pb: 0.479 0.705 0.000
Pb: 0.521 0.295 0.000
Pb: 0.979 0.795 0.500

Peak list (10 most intense, 2θ from 10° to 90°, most intense first)
| Position (°2θ) | I_rel |
| --- | --- |
| 25.4 | 100 |
| 23.8 | 62 |
| 14.4 | 37 |
| 44.3 | 33 |
| 27.5 | 33 |
| 34.4 | 33 |
| 22.7 | 31 |
| 50.4 | 24 |
| 49.0 | 23 |
| 33.9 | 22 |

---

# 3
This entry pairs a crystal structure of Cs2HPb2 with its calculated PXRD pattern. Radiation: Cu Kα (weighted mean of Kα1 and Kα2). Structure: a crystal structure in Alexandria, relaxed with PBE.
No peak broadening, texture or thermal motion is included.

Cell and atoms:
a b c (Å): 11.245 11.245 11.245
angles (deg): 157.34 157.34 32.26
Fractional positions:
Cs: 0.088 0.088 0.000
Cs: 0.912 0.912 0.000
H: 0.500 0.500 0.000
Pb: 0.250 0.750 0.500
Pb: 0.750 0.250 0.500

Peak list (10 most intense, 2θ from 10° to 90°, most intense first)
| Position (°2θ) | I_rel |
| --- | --- |
| 29.8 | 100 |
| 33.1 | 94 |
| 24.7 | 63 |
| 20.5 | 44 |
| 48.3 | 42 |
| 44.3 | 37 |
| 40.8 | 35 |
| 51.4 | 28 |
| 69.5 | 25 |
| 16.4 | 23 |

---

# 4
This entry pairs a crystal structure of CsHPb with its calculated PXRD pattern. Radiation: Cu Kα (weighted mean of Kα1 and Kα2). Structure: a crystal structure in Alexandria, relaxed with PBE.
No peak broadening, texture or thermal motion is included.

Cell and atoms:
a b c (Å): 7.462 7.462 6.615
angles (deg): 113.86 113.86 37.37
Fractional positions:
Cs: 0.000 0.000 0.000
Cs: 0.187 0.187 0.654
H: 0.405 0.405 0.716
H: 0.672 0.672 0.331
Pb: 0.419 0.419 0.436
Pb: 0.769 0.769 0.196

Peak list (10 most intense, 2θ from 10° to 90°, most intense first)
| Position (°2θ) | I_rel |
| --- | --- |
| 26.6 | 100 |
| 27.2 | 62 |
| 27.0 | 45 |
| 40.0 | 31 |
| 28.0 | 29 |
| 25.4 | 27 |
| 15.4 | 25 |
| 37.6 | 24 |
| 49.9 | 21 |
| 46.9 | 20 |

---

# 5
This entry pairs a crystal structure of Cs11H5Pb with its calculated PXRD pattern. Radiation: Cu Kα (weighted mean of Kα1 and Kα2). Structure: a crystal structure in Alexandria, relaxed with PBE.
No peak broadening, texture or thermal motion is included.

Cell and atoms:
a b c (Å): 11.343 11.343 9.100
angles (deg): 103.86 103.86 114.72
Fractional positions:
Cs: 0.000 0.000 0.000
Cs: 0.101 0.740 0.186
Cs: 0.189 0.408 0.498
Cs: 0.260 0.899 0.814
Cs: 0.348 0.348 0.099
Cs: 0.408 0.189 0.498
Cs: 0.592 0.811 0.502
Cs: 0.652 0.652 0.901
Cs: 0.740 0.101 0.186
Cs: 0.811 0.592 0.502
Cs: 0.899 0.260 0.814
H: 0.073 0.304 0.137
H: 0.304 0.073 0.137
H: 0.500 0.500 0.500
H: 0.696 0.927 0.863
H: 0.927 0.696 0.863
Pb: 0.000 0.000 0.500

Peak list (10 most intense, 2θ from 10° to 90°, most intense first)
| Position (°2θ) | I_rel |
| --- | --- |
| 24.8 | 100 |
| 24.1 | 95 |
| 21.4 | 71 |
| 24.7 | 70 |
| 23.7 | 51 |
| 25.9 | 49 |
| 20.6 | 46 |
| 23.2 | 42 |
| 21.6 | 39 |
| 23.9 | 35 |

---

# 6
This entry pairs a crystal structure of CsH6PtPb with its calculated PXRD pattern. Radiation: Cu Kα (weighted mean of Kα1 and Kα2). Structure: a crystal structure in Alexandria, relaxed with PBE.
No peak broadening, texture or thermal motion is included.

Cell and atoms:
a b c (Å): 5.750 5.750 5.561
angles (deg): 90.00 90.00 120.00
Fractional positions:
Cs: 0.000 0.000 0.000
H: 0.438 0.102 0.680
H: 0.438 0.336 0.320
H: 0.664 0.102 0.320
H: 0.664 0.562 0.680
H: 0.898 0.336 0.680
H: 0.898 0.562 0.320
Pt: 0.667 0.333 0.500
Pb: 0.333 0.667 0.500

Peak list (10 most intense, 2θ from 10° to 90°, most intense first)
| Position (°2θ) | I_rel |
| --- | --- |
| 24.0 | 100 |
| 31.1 | 66 |
| 45.4 | 48 |
| 15.9 | 28 |
| 39.7 | 27 |
| 51.2 | 26 |
| 35.1 | 25 |
| 32.2 | 20 |
| 65.5 | 16 |
| 55.3 | 13 |

---

# 7
This entry pairs a crystal structure of CsHPd with its calculated PXRD pattern. Radiation: Cu Kα (weighted mean of Kα1 and Kα2). Structure: a crystal structure in Alexandria, relaxed with PBE.
No peak broadening, texture or thermal motion is included.

Cell and atoms:
a b c (Å): 13.137 9.465 9.442
angles (deg): 88.02 46.06 45.91
Fractional positions:
Cs: 0.001 0.001 0.749
Cs: 0.251 0.251 0.999
Cs: 0.749 0.749 0.001
Cs: 0.999 0.999 0.251
H: 0.001 0.249 0.001
H: 0.249 0.001 0.249
H: 0.751 0.999 0.751
H: 0.999 0.751 0.999
Pd: 0.252 0.498 0.252
Pd: 0.498 0.252 0.498
Pd: 0.502 0.748 0.502
Pd: 0.748 0.502 0.748

Peak list (10 most intense, 2θ from 10° to 90°, most intense first)
| Position (°2θ) | I_rel |
| --- | --- |
| 27.2 | 100 |
| 29.6 | 77 |
| 35.5 | 49 |
| 45.3 | 23 |
| 38.7 | 19 |
| 38.8 | 19 |
| 49.6 | 18 |
| 53.6 | 15 |
| 56.0 | 13 |
| 57.4 | 13 |

---

# 8
This entry pairs a crystal structure of Cs4H4Pd with its calculated PXRD pattern. Radiation: Cu Kα (weighted mean of Kα1 and Kα2). Structure: a crystal structure in Alexandria, relaxed with PBE.
No peak broadening, texture or thermal motion is included.

Cell and atoms:
a b c (Å): 9.129 9.129 9.129
angles (deg): 93.63 93.63 150.87
Fractional positions:
Cs: 0.051 0.234 0.285
Cs: 0.234 0.949 0.183
Cs: 0.766 0.051 0.817
Cs: 0.949 0.766 0.715
H: 0.387 0.428 0.815
H: 0.428 0.613 0.041
H: 0.572 0.387 0.959
H: 0.613 0.572 0.185
Pd: 0.500 0.500 0.000

Peak list (10 most intense, 2θ from 10° to 90°, most intense first)
| Position (°2θ) | I_rel |
| --- | --- |
| 25.1 | 100 |
| 32.4 | 54 |
| 22.5 | 44 |
| 10.0 | 42 |
| 35.5 | 30 |
| 20.1 | 29 |
| 28.6 | 24 |
| 42.2 | 21 |
| 48.6 | 18 |
| 53.1 | 16 |

---

# 9
This entry pairs a crystal structure of Cs3H5Pd with its calculated PXRD pattern. Radiation: Cu Kα (weighted mean of Kα1 and Kα2). Structure: a crystal structure in Alexandria, relaxed with PBE.
No peak broadening, texture or thermal motion is included.

Cell and atoms:
a b c (Å): 8.163 8.163 6.296
angles (deg): 90.00 90.00 90.00
Fractional positions:
Cs: 0.000 0.000 0.000
Cs: 0.185 0.315 0.500
Cs: 0.315 0.815 0.500
Cs: 0.500 0.500 0.000
Cs: 0.685 0.185 0.500
Cs: 0.815 0.685 0.500
H: 0.000 0.000 0.500
H: 0.103 0.603 0.185
H: 0.103 0.603 0.815
H: 0.397 0.103 0.185
H: 0.397 0.103 0.815
H: 0.500 0.500 0.500
H: 0.603 0.897 0.185
H: 0.603 0.897 0.815
H: 0.897 0.397 0.185
H: 0.897 0.397 0.815
Pd: 0.000 0.500 0.000
Pd: 0.500 0.000 0.000

Peak list (10 most intense, 2θ from 10° to 90°, most intense first)
| Position (°2θ) | I_rel |
| --- | --- |
| 26.0 | 100 |
| 28.3 | 58 |
| 31.0 | 24 |
| 42.5 | 21 |
| 24.4 | 20 |
| 48.8 | 17 |
| 37.7 | 16 |
| 48.2 | 12 |
| 58.4 | 8 |
| 52.2 | 8 |

---

# 10
This entry pairs a crystal structure of CsSrH8Pd2 with its calculated PXRD pattern. Radiation: Cu Kα (weighted mean of Kα1 and Kα2). Structure: a crystal structure in Alexandria, relaxed with PBE.
No peak broadening, texture or thermal motion is included.

Cell and atoms:
a b c (Å): 7.723 7.723 7.723
angles (deg): 41.14 41.14 41.14
Fractional positions:
Cs: 0.000 0.000 0.000
Sr: 0.500 0.500 0.500
H: 0.049 0.932 0.400
H: 0.068 0.600 0.951
H: 0.265 0.265 0.265
H: 0.400 0.049 0.932
H: 0.600 0.951 0.068
H: 0.735 0.735 0.735
H: 0.932 0.400 0.049
H: 0.951 0.068 0.600
Pd: 0.183 0.183 0.183
Pd: 0.817 0.817 0.817

Peak list (10 most intense, 2θ from 10° to 90°, most intense first)
| Position (°2θ) | I_rel |
| --- | --- |
| 33.0 | 100 |
| 42.0 | 94 |
| 12.5 | 56 |
| 25.2 | 55 |
| 28.4 | 40 |
| 25.3 | 38 |
| 19.3 | 37 |
| 35.4 | 23 |
| 65.2 | 22 |
| 47.1 | 19 |